# BaCrGeO6
Computed powder diffractogram, Cu Kα (weighted mean of Kα1 and Kα2). Input: a cell relaxed with GGA+U.
Intensities are scaled so that the largest is 100.

Largest 8 diffraction maxima, sorted by position, 10° ≤ 2θ ≤ 80°:
2theta	intensity	index
25.5	100	1 0 1
31.1	8	0 0 2
35.4	24	1 1 0
44.1	17	0 2 1
47.8	34	2 -1 2
52.1	10	1 0 3
57.8	19	3 -1 1
64.5	9	0 2 3

Atomic structure:
a = 5.0764 Å, b = 5.0764 Å, c = 5.7486 Å
α = 90.00°, β = 90.00°, γ = 120.00°
Space group P3 (No. 143)
Inequivalent atoms, fractional coordinates:
Ba: 0.0000 0.0000 0.0000
Cr: 0.3333 0.6667 0.5080
Ge: 0.6667 0.3333 0.4636
O: 0.0057 0.3991 0.6686
O: 0.0138 0.5994 0.2948